For SrIn4Rh2, a PBE-relaxed structure gives the computed PXRD pattern in this record (Cu Kα X-rays).
Peak positions follow from Bragg's law for the DFT cell and can differ from measured ones.

Structure:
```
SrIn4Rh2
1.0
18.599 0.000 0.000
0.000 4.621 0.000
0.000 0.000 7.295
Sr In Rh
4 16 8
Direct
0.141 0.250 0.028
0.359 0.750 0.528
0.641 0.250 0.472
0.859 0.750 0.972
0.033 0.750 0.854
0.070 0.250 0.497
0.185 0.750 0.329
0.193 0.750 0.737
0.307 0.250 0.237
0.315 0.250 0.829
0.430 0.750 0.997
0.467 0.250 0.354
0.533 0.750 0.646
0.570 0.250 0.003
0.685 0.750 0.171
0.693 0.750 0.763
0.807 0.250 0.263
0.815 0.250 0.671
0.930 0.750 0.503
0.967 0.250 0.146
0.039 0.750 0.250
0.217 0.250 0.537
0.283 0.750 0.037
0.461 0.250 0.750
0.539 0.750 0.250
0.717 0.250 0.963
0.783 0.750 0.463
0.961 0.250 0.750
```

Peak list (10 most intense, 10 to 90 degrees two-theta, in order of rising 2θ)
| (hkl) | d_spacing | I/Imax |
| --- | --- | --- |
| 1 1 2 | 2.830 | 20 |
| 2 1 2 | 2.736 | 100 |
| 5 1 1 | 2.693 | 63 |
| 6 1 0 | 2.574 | 25 |
| 7 0 1 | 2.497 | 29 |
| 0 2 0 | 2.310 | 59 |
| 3 0 3 | 2.266 | 24 |
| 6 1 2 | 2.103 | 37 |
| 2 1 3 | 2.096 | 22 |
| 7 2 1 | 1.696 | 17 |